Structure and computed powder XRD pattern of K4Er3ThSe8 (DFT lattice parameters and positions (PBE); λ = 1.5418 Å (Cu Kα)).

Atomic structure:
Lattice parameters (Å, degrees): 9.107 9.107 9.107 54.89 54.89 54.89
Sites, in units of the cell vectors:
K1 0.000 0.000 0.000
K2 0.000 0.500 0.500
K3 0.500 0.000 0.500
K4 0.500 0.500 0.000
Er1 0.000 0.000 0.500
Er2 0.000 0.500 0.000
Er3 0.500 0.000 0.000
Th1 0.500 0.500 0.500
Se1 0.231 0.739 0.739
Se2 0.234 0.234 0.234
Se3 0.261 0.261 0.769
Se4 0.261 0.769 0.261
Se5 0.739 0.231 0.739
Se6 0.739 0.739 0.231
Se7 0.766 0.766 0.766
Se8 0.769 0.261 0.261

Principal peaks in the range 2θ = 10–90°, sorted by position:
2θ 11.48, I = 66; 2θ 24.79, I = 16; 2θ 29.01, I = 100; 2θ 36.76, I = 21; 2θ 39.84, I = 36; 2θ 43.10, I = 35; 2θ 44.75, I = 15; 2θ 50.12, I = 12; 2θ 52.79, I = 18; 2θ 70.44, I = 15

---

Structure and computed powder XRD pattern of Re7C6 (DFT lattice parameters and positions (PBE); λ = 1.5418 Å (Cu Kα)).

Atomic structure:
Lattice parameters (Å, degrees): 7.353 7.353 7.353 43.92 43.92 43.92
Sites, in units of the cell vectors:
Re1 0.000 0.000 0.000
Re2 0.076 0.076 0.562
Re3 0.076 0.562 0.076
Re4 0.438 0.924 0.924
Re5 0.562 0.076 0.076
Re6 0.924 0.438 0.924
Re7 0.924 0.924 0.438
C1 0.164 0.164 0.164
C2 0.316 0.316 0.316
C3 0.387 0.387 0.387
C4 0.613 0.613 0.613
C5 0.684 0.684 0.684
C6 0.836 0.836 0.836

Principal peaks in the range 2θ = 10–90°, sorted by position:
2θ 19.16, I = 100; 2θ 26.89, I = 39; 2θ 38.05, I = 52; 2θ 38.88, I = 53; 2θ 42.72, I = 33; 2θ 44.33, I = 39; 2θ 49.96, I = 61; 2θ 50.93, I = 20; 2θ 53.25, I = 20; 2θ 68.21, I = 25

---

Structure and computed powder XRD pattern of Ti3Cr (DFT lattice parameters and positions (PBE); λ = 1.5418 Å (Cu Kα)).

Atomic structure:
Lattice parameters (Å, degrees): 3.113 8.841 4.537 90.00 90.00 90.00
Sites, in units of the cell vectors:
Ti1 0.000 0.000 0.000
Ti2 0.000 0.218 0.489
Ti3 0.000 0.782 0.489
Ti4 0.500 0.282 0.989
Ti5 0.500 0.500 0.500
Ti6 0.500 0.718 0.989
Cr1 0.000 0.500 0.032
Cr2 0.500 0.000 0.532

Principal peaks in the range 2θ = 10–90°, sorted by position:
2θ 39.73, I = 28; 2θ 40.64, I = 100; 2θ 40.83, I = 19; 2θ 58.28, I = 12; 2θ 59.37, I = 11; 2θ 72.73, I = 13; 2θ 73.83, I = 7; 2θ 74.20, I = 7; 2θ 74.56, I = 8; 2θ 87.98, I = 7

---

Structure and computed powder XRD pattern of K14Sr2O9 (DFT lattice parameters and positions (PBE); λ = 1.5418 Å (Cu Kα)).

Atomic structure:
Lattice parameters (Å, degrees): 7.835 7.835 10.957 90.00 90.00 120.00
Sites, in units of the cell vectors:
K1 0.000 0.000 0.245
K2 0.000 0.000 0.755
K3 0.048 0.685 0.408
K4 0.072 0.378 0.089
K5 0.305 0.928 0.089
K6 0.315 0.363 0.408
K7 0.363 0.048 0.592
K8 0.378 0.305 0.911
K9 0.622 0.695 0.089
K10 0.637 0.952 0.408
K11 0.685 0.637 0.592
K12 0.695 0.072 0.911
K13 0.928 0.622 0.911
K14 0.952 0.315 0.592
Sr1 0.333 0.667 0.761
Sr2 0.667 0.333 0.239
O1 0.000 0.000 0.500
O2 0.059 0.358 0.838
O3 0.299 0.941 0.838
O4 0.333 0.667 0.539
O5 0.358 0.299 0.162
O6 0.642 0.701 0.838
O7 0.667 0.333 0.461
O8 0.701 0.059 0.162
O9 0.941 0.642 0.162

Principal peaks in the range 2θ = 10–90°, sorted by position:
2θ 15.36, I = 42; 2θ 27.52, I = 32; 2θ 27.74, I = 32; 2θ 28.00, I = 100; 2θ 35.96, I = 49; 2θ 39.86, I = 61; 2θ 40.17, I = 76; 2θ 54.88, I = 17; 2θ 57.87, I = 16; 2θ 65.71, I = 15

---

- Number 4 is which compound?
  K14Sr2O9